(1)
Structure and theoretical XRD peak list of RbNa3Cd3 (a structure optimized by DFT (PBE); a wavelength of 1.5418 Å).
Intensities are scaled so that the largest is 1000.

Top 8 peaks for 2θ from 10° to 80°, in order of falling intensity:
(3 -1 1), 2θ 35.99, rel. 1000
(0 1 2), 2θ 14.52, rel. 909
(2 -1 3), 2θ 24.80, rel. 774
(0 1 8), 2θ 26.44, rel. 768
(1 2 5), 2θ 38.74, rel. 632
(3 -1 4), 2θ 37.73, rel. 597
(0 0 6), 2θ 16.98, rel. 578
(2 -1 12), 2θ 41.87, rel. 549

Structural model:
abc: 7.6473 7.6473 31.3314
angles: 90.00 90.00 120.00
Space group R-3 (No. 148, hexagonal axes)
Symmetry-distinct sites (fractional):
Rb 0.0000 0.0000 0.1984 x6
Na 0.0039 0.5532 0.2528 x18
Cd 0.0421 0.7922 0.6866 x18

***

(2)
Structure and theoretical XRD peak list of RbNaCd (a structure optimized by DFT (PBE); a wavelength of 1.5418 Å).
Intensities are scaled so that the largest is 1000.

Top 8 peaks for 2θ from 10° to 80°, in order of falling intensity:
(5 1 0), 2θ 32.83, rel. 1000
(2 2 -1), 2θ 30.54, rel. 772
(1 1 1), 2θ 24.90, rel. 657
(1 1 0), 2θ 13.19, rel. 611
(0 2 0), 2θ 23.56, rel. 555
(2 0 -1), 2θ 19.16, rel. 535
(4 0 -1), 2θ 25.83, rel. 480
(3 1 2), 2θ 50.15, rel. 348

Structural model:
abc: 15.4115 7.5530 4.8824
angles: 90.00 108.40 90.00
Space group C2/m (No. 12)
Symmetry-distinct sites (fractional):
Rb 0.1978 0.0000 0.1981 x4
Na 0.0000 0.2649 0.5000 x4
Cd 0.0991 0.5000 0.0990 x4

***

(3)
Structure and theoretical XRD peak list of Rb5Na2Cd (a structure optimized by DFT (PBE); a wavelength of 1.5418 Å).
Intensities are scaled so that the largest is 1000.

Top 8 peaks for 2θ from 10° to 80°, in order of falling intensity:
(0 2 7), 2θ 25.54, rel. 1000
(1 3 2), 2θ 26.09, rel. 912
(1 1 4), 2θ 22.90, rel. 863
(1 3 3), 2θ 27.10, rel. 805
(1 1 1), 2θ 19.15, rel. 661
(0 4 2), 2θ 24.50, rel. 618
(2 0 0), 2θ 36.29, rel. 493
(1 1 5), 2θ 24.90, rel. 493

Structural model:
abc: 4.9493 15.0648 27.5434
angles: 90.00 90.00 90.00
Space group Cmcm (No. 63)
Symmetry-distinct sites (fractional):
Rb 0.0000 0.0008 0.2500 x4
Rb 0.0000 0.1346 0.5466 x8
Rb 0.0000 0.4003 0.6192 x8
Na 0.0000 0.2980 0.1828 x8
Cd 0.0000 0.2854 0.7500 x4

***

(4)
Structure and theoretical XRD peak list of RbNa16Cd12 (a structure optimized by DFT (PBE); a wavelength of 1.5418 Å).
Intensities are scaled so that the largest is 1000.

Top 8 peaks for 2θ from 10° to 80°, in order of falling intensity:
(1 3 -1), 2θ 18.52, rel. 1000
(4 2 -2), 2θ 32.14, rel. 878
(2 0 -4), 2θ 35.89, rel. 832
(3 1 1), 2θ 34.31, rel. 777
(2 0 0), 2θ 17.80, rel. 719
(1 3 0), 2θ 18.29, rel. 716
(1 5 -2), 2θ 32.27, rel. 610
(2 2 -1), 2θ 18.41, rel. 575

Structural model:
abc: 11.8320 16.6624 10.0950
angles: 90.00 122.63 90.00
Space group Cm (No. 8)
Symmetry-distinct sites (fractional):
Rb 0.0000 0.0000 0.0000 x2
Na 0.0421 0.1490 0.2841 x4
Na 0.0689 0.2087 0.9551 x4
Na 0.0803 0.5000 0.6275 x2
Na 0.0860 0.5000 0.2794 x2
Na 0.1417 0.1479 0.6776 x4
Na 0.2377 0.3360 0.8532 x4
Na 0.2507 0.3256 0.2599 x4
Na 0.2657 0.0000 0.5421 x2
Na 0.2780 0.0000 0.9539 x2
Na 0.3774 0.2074 0.5844 x4
Cd 0.0874 0.3205 0.4590 x4
Cd 0.2434 0.5000 0.0882 x2
Cd 0.3237 0.0915 0.2852 x4
Cd 0.3422 0.4073 0.6088 x4
Cd 0.4054 0.1817 0.0881 x4
Cd 0.4404 0.5000 0.4294 x2
Cd 0.4881 0.0941 0.8956 x4

***

(5)
Structure and theoretical XRD peak list of Rb3Na2Cd4 (a structure optimized by DFT (PBE); a wavelength of 1.5418 Å).
Intensities are scaled so that the largest is 1000.

Top 8 peaks for 2θ from 10° to 80°, in order of falling intensity:
(-1 1 2), 2θ 28.16, rel. 1000
(2 1 0), 2θ 32.84, rel. 585
(0 1 1), 2θ 13.88, rel. 507
(1 0 1), 2θ 20.58, rel. 475
(0 2 1), 2θ 26.14, rel. 457
(0 2 -1), 2θ 31.12, rel. 377
(1 0 -1), 2θ 18.82, rel. 334
(1 0 3), 2θ 33.63, rel. 300

Structural model:
abc: 5.4542 7.3315 10.5151
angles: 74.49 89.93 68.45
Space group P-1 (No. 2)
Symmetry-distinct sites (fractional):
Rb 0.0000 0.0000 0.0000 x1
Rb 0.3782 0.2453 0.6314 x2
Na 0.3135 0.3681 0.2329 x2
Cd 0.0876 0.8330 0.6303 x2
Cd 0.2520 0.4993 0.9201 x2

***

(6)
Structure and theoretical XRD peak list of Rb3Na5Cd6 (a structure optimized by DFT (PBE); a wavelength of 1.5418 Å).
Intensities are scaled so that the largest is 1000.

Top 8 peaks for 2θ from 10° to 80°, in order of falling intensity:
(1 2 3), 2θ 27.93, rel. 1000
(1 2 5), 2θ 35.93, rel. 691
(0 2 0), 2θ 13.96, rel. 682
(1 0 5), 2θ 32.94, rel. 634
(0 0 2), 2θ 11.02, rel. 531
(2 0 0), 2θ 35.09, rel. 529
(0 4 0), 2θ 28.12, rel. 455
(0 2 2), 2θ 17.82, rel. 385

Structural model:
abc: 5.1143 12.6912 16.0523
angles: 90.00 90.00 90.00
Space group Immm (No. 71)
Symmetry-distinct sites (fractional):
Rb 0.0000 0.0000 0.0000 x2
Rb 0.0000 0.0000 0.3197 x4
Na 0.0000 0.3211 0.3075 x8
Na 0.0000 0.5000 0.0000 x2
Cd 0.0000 0.2228 0.5000 x4
Cd 0.0000 0.2780 0.1010 x8

***

(7)
Structure and theoretical XRD peak list of Rb5Na2Cd12 (a structure optimized by DFT (PBE); a wavelength of 1.5418 Å).
Intensities are scaled so that the largest is 1000.

Top 8 peaks for 2θ from 10° to 80°, in order of falling intensity:
(5 1 1), 2θ 27.49, rel. 1000
(4 2 -1), 2θ 30.25, rel. 442
(1 1 3), 2θ 35.71, rel. 352
(4 2 0), 2θ 28.45, rel. 348
(2 2 2), 2θ 33.07, rel. 345
(4 0 0), 2θ 17.47, rel. 298
(3 3 -1), 2θ 37.82, rel. 279
(2 0 -3), 2θ 34.02, rel. 268

Structural model:
abc: 20.3269 7.9801 8.0851
angles: 90.00 92.84 90.00
Space group C2/m (No. 12)
Symmetry-distinct sites (fractional):
Rb 0.0000 0.0000 0.0000 x2
Rb 0.2071 0.5000 0.5445 x4
Rb 0.2436 0.0000 0.9362 x4
Na 0.0000 0.2818 0.5000 x4
Cd 0.0460 0.5000 0.1649 x4
Cd 0.0986 0.3127 0.8441 x8
Cd 0.1106 0.0000 0.5994 x4
Cd 0.1269 0.1897 0.2565 x8

***

(8)
Structure and theoretical XRD peak list of RbNaCdS2 (a structure optimized by DFT (PBE); a wavelength of 1.5418 Å).
Intensities are scaled so that the largest is 1000.

Top 8 peaks for 2θ from 10° to 80°, in order of falling intensity:
(1 1 -1), 2θ 22.59, rel. 1000
(1 1 -3), 2θ 34.91, rel. 901
(3 1 0), 2θ 27.40, rel. 644
(2 0 2), 2θ 24.06, rel. 523
(2 0 0), 2θ 12.38, rel. 468
(5 1 2), 2θ 44.22, rel. 456
(4 0 -1), 2θ 25.41, rel. 454
(0 2 0), 2θ 40.50, rel. 406

Structural model:
abc: 14.4369 4.4551 9.4815
angles: 90.00 97.88 90.00
Space group C2/m (No. 12)
Symmetry-distinct sites (fractional):
Rb 0.1367 0.0000 0.1581 x4
Na 0.1846 0.0000 0.5687 x4
Cd 0.0510 0.5000 0.6792 x4
S 0.1036 0.0000 0.8100 x4
S 0.1233 0.5000 0.4248 x4